This entry pairs a crystal structure of AcCo2O4 with its simulated powder X-ray diffraction pattern. Radiation: Cu Kα (weighted mean of Kα1 and Kα2). Structure: a PBE+U-relaxed structure.

```
data_AcCo2O4
_chemical_formula_sum 'Ac4 Co8 O16'
_cell_length_a 6.5219
_cell_length_b 6.5219
_cell_length_c 8.8280
_cell_angle_alpha 90.00
_cell_angle_beta 90.00
_cell_angle_gamma 90.00
_space_group_name_H-M_alt 'I 41/a m d'
_space_group_IT_number 141
loop_
_space_group_symop_operation_xyz
'x,y,z'
'-x,-y,-z'
'-y+1/4,x+3/4,z+1/4'
'y+1/4,-x+3/4,-z+1/4'
'-x+1/2,-y,z+1/2'
'x+1/2,y,-z+1/2'
'y+1/4,-x+1/4,z+3/4'
'-y+1/4,x+1/4,-z+3/4'
'x,-y,-z'
'-x,y,z'
'-y+1/4,-x+1/4,-z+3/4'
'y+1/4,x+1/4,z+3/4'
'-x+1/2,y,-z+1/2'
'x+1/2,-y,z+1/2'
'y+1/4,x+3/4,-z+1/4'
'-y+1/4,-x+3/4,z+1/4'
'x+1/2,y+1/2,z+1/2'
'-x+1/2,-y+1/2,-z+1/2'
'-y+3/4,x+1/4,z+3/4'
'y+3/4,-x+1/4,-z+3/4'
'-x,-y+1/2,z'
'x,y+1/2,-z'
'y+3/4,-x+3/4,z+1/4'
'-y+3/4,x+3/4,-z+1/4'
'x+1/2,-y+1/2,-z+1/2'
'-x+1/2,y+1/2,z+1/2'
'-y+3/4,-x+3/4,-z+1/4'
'y+3/4,x+3/4,z+1/4'
'-x,y+1/2,-z'
'x,-y+1/2,z'
'y+3/4,x+1/4,-z+3/4'
'-y+3/4,-x+1/4,z+3/4'
loop_
_atom_site_label
_atom_site_fract_x
_atom_site_fract_y
_atom_site_fract_z
Ac1 0.0000 0.2500 0.3750
Co1 0.0000 0.0000 0.0000
O1 0.0000 0.0441 0.7693
```

Most intense lines, 15 to 90 degrees two-theta, by intensity:
2θ/deg	intensity	h k l
32.33	100.0	2 1 1
27.98	80.6	1 1 2
33.41	46.9	1 0 3
27.35	42.9	2 0 0
51.58	34.9	3 2 1
48.73	34.0	3 1 2
57.83	31.0	2 2 4
16.90	30.1	1 0 1
56.43	16.6	4 0 0
49.90	15.8	2 0 4